No. 1
Diffraction record for Er6Tl3Rh. The X-ray diffraction stick pattern is calculated, not measured: it uses a DFT-relaxed cell (GGA-PBE, Alexandria) and a wavelength of 1.5418 Å.

Atomic structure:
```
Er6Tl3Rh
1.0
8.948 0.000 0.000
0.000 11.605 0.000
0.000 0.000 5.171
Er Tl Rh
12 6 2
Direct
0.011 0.236 0.000
0.157 0.083 0.500
0.187 0.415 0.500
0.313 0.915 0.000
0.343 0.583 0.000
0.489 0.736 0.500
0.511 0.264 0.500
0.657 0.417 0.000
0.687 0.085 0.000
0.813 0.585 0.500
0.843 0.917 0.500
0.989 0.764 0.000
0.000 0.500 0.000
0.156 0.738 0.500
0.344 0.238 0.000
0.500 0.000 0.500
0.656 0.762 0.000
0.844 0.262 0.500
0.000 0.000 0.000
0.500 0.500 0.500
```

Largest 8 diffraction maxima, by angle, 15° ≤ 2θ ≤ 90°:
- 30.54 deg, rel. 82.8
- 34.71 deg, rel. 100.0
- 36.92 deg, rel. 21.4
- 46.91 deg, rel. 29.3
- 47.09 deg, rel. 13.6
- 59.67 deg, rel. 37.4
- 62.22 deg, rel. 17.5
- 81.42 deg, rel. 12.4

---

No. 2
Diffraction record for ThSi3Pd5. The X-ray diffraction stick pattern is calculated, not measured: it uses a DFT-relaxed cell (GGA-PBE, Alexandria) and a wavelength of 1.5418 Å.

Atomic structure:
```
ThSi3Pd5
1.0
1.952 -6.284 0.000
1.952 6.284 0.000
0.000 0.000 12.623
Th Si Pd
2 6 10
Direct
0.149 0.851 0.750
0.851 0.149 0.250
0.121 0.879 0.250
0.386 0.614 0.041
0.386 0.614 0.459
0.614 0.386 0.541
0.614 0.386 0.959
0.879 0.121 0.750
0.000 0.000 0.000
0.000 0.000 0.500
0.207 0.793 0.077
0.207 0.793 0.423
0.448 0.552 0.646
0.448 0.552 0.854
0.552 0.448 0.146
0.552 0.448 0.354
0.793 0.207 0.577
0.793 0.207 0.923
```

Largest 8 diffraction maxima, by angle, 15° ≤ 2θ ≤ 90°:
- 25.48 deg, rel. 41.6
- 31.32 deg, rel. 36.7
- 31.81 deg, rel. 26.1
- 32.09 deg, rel. 100.0
- 34.47 deg, rel. 39.7
- 37.33 deg, rel. 53.1
- 45.46 deg, rel. 21.8
- 46.53 deg, rel. 32.5

---

No. 3
Diffraction record for Ta4FeP. The X-ray diffraction stick pattern is calculated, not measured: it uses a DFT-relaxed cell (GGA-PBE, Alexandria) and a wavelength of 1.5418 Å.

Atomic structure:
```
Ta4FeP
1.0
6.116 0.000 0.000
0.000 6.116 0.000
0.000 0.000 5.084
Ta Fe P
8 2 2
Direct
0.157 0.330 0.000
0.157 0.670 0.500
0.330 0.157 0.500
0.330 0.843 0.000
0.670 0.157 0.000
0.670 0.843 0.500
0.843 0.330 0.500
0.843 0.670 0.000
0.000 0.000 0.250
0.000 0.000 0.750
0.500 0.500 0.250
0.500 0.500 0.750
```

Largest 8 diffraction maxima, by angle, 15° ≤ 2θ ≤ 90°:
- 35.31 deg, rel. 19.4
- 37.33 deg, rel. 100.0
- 41.19 deg, rel. 10.2
- 46.45 deg, rel. 16.2
- 46.98 deg, rel. 18.5
- 64.70 deg, rel. 27.0
- 65.56 deg, rel. 16.4
- 75.88 deg, rel. 13.6

---

No. 4
Diffraction record for NaO2F3. The X-ray diffraction stick pattern is calculated, not measured: it uses a DFT-relaxed cell (GGA-PBE, Alexandria) and a wavelength of 1.5418 Å.

Atomic structure:
```
NaO2F3
1.0
5.105 -2.387 0.000
5.105 2.387 0.000
-2.242 0.000 6.307
Na O F
2 4 6
Direct
0.003 0.997 0.750
0.997 0.003 0.250
0.287 0.385 0.917
0.385 0.287 0.417
0.615 0.713 0.583
0.713 0.615 0.083
0.131 0.197 0.085
0.197 0.131 0.585
0.498 0.502 0.250
0.502 0.498 0.750
0.803 0.869 0.415
0.869 0.803 0.915
```

Largest 8 diffraction maxima, by angle, 15° ≤ 2θ ≤ 90°:
- 37.68 deg, rel. 93.8
- 38.74 deg, rel. 100.0
- 39.05 deg, rel. 97.7
- 54.86 deg, rel. 29.5
- 55.15 deg, rel. 48.4
- 55.39 deg, rel. 47.4
- 57.47 deg, rel. 24.0
- 68.47 deg, rel. 21.8